# 1
# LiCePu2Ge4
Computed PXRD pattern, λ = 1.5418 Å (Cu Kα). Input: the GGA-PBE geometry in Alexandria.
Neutral-atom scattering factors, no anomalous dispersion.

The 6 most intense peaks (5 to 70 degrees two-theta), by intensity:
2θ = 35.01°, rel. 100; 2θ = 37.40°, rel. 97; 2θ = 22.42°, rel. 41; 2θ = 52.16°, rel. 32; 2θ = 65.93°, rel. 32; 2θ = 25.40°, rel. 27

Crystal structure
Unit cell a=9.1037 b=9.1037 c=9.1037 alpha=30.63 beta=30.63 gamma=30.63
Sites, in units of the cell vectors:
Li  0.0000  0.0000  0.0000
Ce  0.5000  0.5000  0.5000
Pu  0.2601  0.2601  0.2601
Pu  0.7399  0.7399  0.7399
Ge  0.1194  0.1194  0.1194
Ge  0.3715  0.3715  0.3715
Ge  0.6285  0.6285  0.6285
Ge  0.8806  0.8806  0.8806

---

# 2
# Li2CeGeSe4
Computed PXRD pattern, λ = 1.5418 Å (Cu Kα). Input: the GGA-PBE geometry in Alexandria.
Neutral-atom scattering factors, no anomalous dispersion.

The 6 most intense peaks (5 to 70 degrees two-theta), by intensity:
2θ = 31.35°, rel. 100; 2θ = 44.26°, rel. 57; 2θ = 31.70°, rel. 49; 2θ = 13.96°, rel. 48; 2θ = 46.09°, rel. 34; 2θ = 25.52°, rel. 25

Crystal structure
Unit cell a=6.7399 b=4.0963 c=7.0854 alpha=90.00 beta=109.72 gamma=90.00
Sites, in units of the cell vectors:
Li  0.0000  0.0000  0.0000
Li  0.0000  0.5000  0.5000
Ce  0.5000  0.0000  0.5000
Ge  0.5000  0.5000  0.0000
Se  0.2463  0.5000  0.2451
Se  0.2519  0.0000  0.7513
Se  0.7481  0.0000  0.2487
Se  0.7537  0.5000  0.7549

---

# 3
# Li2CeThGe2
Computed PXRD pattern, λ = 1.5418 Å (Cu Kα). Input: the GGA-PBE geometry in Alexandria.
Neutral-atom scattering factors, no anomalous dispersion.

The 6 most intense peaks (5 to 70 degrees two-theta), by intensity:
2θ = 33.50°, rel. 100; 2θ = 22.79°, rel. 53; 2θ = 40.02°, rel. 43; 2θ = 53.15°, rel. 27; 2θ = 68.56°, rel. 25; 2θ = 25.85°, rel. 22

Crystal structure
Unit cell a=4.5056 b=4.5056 c=7.3498 alpha=90.00 beta=90.00 gamma=120.00
Sites, in units of the cell vectors:
Li  0.3333  0.6667  0.2364
Li  0.6667  0.3333  0.7636
Ce  0.0000  0.0000  0.0000
Th  0.0000  0.0000  0.5000
Ge  0.3333  0.6667  0.7494
Ge  0.6667  0.3333  0.2506